Record 1
Diffraction record for Ag5Au2. The powder diffraction line list is calculated, not measured: it uses a structure optimized by DFT (PBE) and Cu Kα, 1.54184 Å.

Structural model:
```
Ag5Au2
1.0
8.191 0.000 0.000
-4.096 7.094 0.000
0.000 0.000 9.029
Ag Au
20 8
Cartesian
0.000 0.000 0.000 Ag
0.000 0.000 4.515 Ag
-1.582 3.816 2.257 Ag
0.000 2.950 4.715 Ag
0.000 2.950 8.829 Ag
-1.540 5.618 4.715 Ag
-1.540 5.618 8.829 Ag
2.555 1.475 0.201 Ag
2.555 1.475 4.314 Ag
1.582 3.816 2.257 Ag
0.000 6.556 2.257 Ag
4.096 0.538 6.772 Ag
2.514 3.278 6.772 Ag
1.540 5.618 4.715 Ag
1.540 5.618 8.829 Ag
5.636 1.475 0.201 Ag
5.636 1.475 4.314 Ag
4.096 4.143 0.201 Ag
4.096 4.143 4.314 Ag
5.677 3.278 6.772 Ag
0.000 1.615 2.257 Au
-2.697 6.286 2.257 Au
1.399 0.808 6.772 Au
0.000 4.729 6.772 Au
4.096 2.365 2.257 Au
2.697 6.286 2.257 Au
6.792 0.808 6.772 Au
4.096 5.479 6.772 Au
```

Main lines, in order of falling intensity (10° ≤ 2θ ≤ 90°):
2theta  intensity
39.07  1000
39.39  445
39.94  326
27.01  317
39.26  281
82.59  181

=====

Record 2
Diffraction record for Nd2GdCd3Ir2Au. The powder diffraction line list is calculated, not measured: it uses a structure optimized by DFT (PBE) and Cu Kα, 1.54184 Å.

Structural model:
```
Nd2GdCd3Ir2Au
1.0
3.984 0.000 0.000
0.000 6.659 3.866
0.000 -6.659 3.866
Nd Gd Cd Ir Au
2 1 3 2 1
Cartesian
0.000 -3.909 3.866 Nd
0.000 3.909 3.866 Nd
0.000 0.000 2.950 Gd
1.992 0.000 0.435 Cd
1.992 -1.736 5.119 Cd
1.992 1.736 5.119 Cd
1.992 -2.183 2.289 Ir
1.992 2.183 2.289 Ir
0.000 0.000 6.122 Au
```

Main lines, in order of falling intensity (10° ≤ 2θ ≤ 90°):
2theta  intensity
35.07  1000
32.31  688
40.47  305
42.36  266
45.53  244
65.34  214

=====

Record 3
Diffraction record for La2Pr2O5. The powder diffraction line list is calculated, not measured: it uses a structure optimized by DFT (PBE) and Cu Kα, 1.54184 Å.

Structural model:
```
La2Pr2O5
1.0
4.610 0.000 0.000
0.000 4.610 0.000
0.000 0.000 7.484
La Pr O
2 2 5
Cartesian
0.000 0.000 0.000 La
0.000 0.000 3.742 La
2.305 2.305 1.597 Pr
2.305 2.305 5.887 Pr
0.000 2.305 1.692 O
0.000 2.305 5.792 O
2.305 0.000 1.692 O
2.305 0.000 5.792 O
2.305 2.305 3.742 O
```

Main lines, in order of falling intensity (10° ≤ 2θ ≤ 90°):
2theta  intensity
30.78  1000
27.36  661
50.55  504
39.08  409
79.16  136
56.46  134

=====

Record 4
Diffraction record for AlPtI6. The powder diffraction line list is calculated, not measured: it uses a structure optimized by DFT (PBE) and Cu Kα, 1.54184 Å.

Structural model:
```
AlPtI6
1.0
0.000 5.487 5.487
5.487 0.000 5.487
5.487 5.487 0.000
Al Pt I
1 1 6
Cartesian
0.000 0.000 0.000 Al
8.231 8.231 8.231 Pt
8.231 8.231 5.550 I
8.231 5.550 8.231 I
10.912 8.231 8.231 I
5.550 8.231 8.231 I
8.231 10.912 8.231 I
8.231 8.231 10.912 I
```

Main lines, in order of falling intensity (10° ≤ 2θ ≤ 90°):
2theta  intensity
16.15  1000
32.64  983
28.17  714
46.83  707
36.62  524
13.98  511

=====

Record 5
Diffraction record for TmTlSnSe3. The powder diffraction line list is calculated, not measured: it uses a structure optimized by DFT (PBE) and Cu Kα, 1.54184 Å.

Structural model:
```
TmTlSnSe3
1.0
14.837 0.000 0.000
0.000 4.115 0.000
0.000 0.000 12.189
Tm Tl Sn Se
4 4 4 12
Cartesian
0.059 1.029 1.765 Tm
7.359 3.086 7.860 Tm
7.478 1.029 4.330 Tm
14.778 3.086 10.425 Tm
3.445 3.086 7.211 Tl
3.973 1.029 1.117 Tl
10.864 3.086 11.073 Tl
11.392 1.029 4.978 Tl
0.688 3.086 4.953 Sn
6.731 1.029 11.047 Sn
8.106 3.086 1.142 Sn
14.149 1.029 7.237 Sn
1.352 1.029 9.007 Se
1.570 3.086 0.501 Se
2.107 1.029 3.799 Se
5.312 3.086 9.894 Se
5.848 1.029 6.596 Se
6.066 3.086 2.912 Se
8.771 1.029 9.277 Se
8.989 3.086 5.594 Se
9.525 1.029 2.296 Se
12.730 3.086 8.390 Se
13.267 1.029 11.688 Se
13.485 3.086 3.183 Se
```

Main lines, in order of falling intensity (10° ≤ 2θ ≤ 90°):
2theta  intensity
31.87  1000
28.81  591
33.30  568
26.82  448
23.16  429
38.11  425

=====

Record 6
Diffraction record for TbGd2Sn2Pb5. The powder diffraction line list is calculated, not measured: it uses a structure optimized by DFT (PBE) and Cu Kα, 1.54184 Å.

Structural model:
```
TbGd2Sn2Pb5
1.0
2.325 -12.936 0.000
2.325 12.936 0.000
0.000 0.000 4.718
Tb Gd Sn Pb
1 2 2 5
Cartesian
0.000 0.000 0.000 Tb
2.325 8.095 0.000 Gd
2.325 -8.095 0.000 Gd
2.325 2.491 0.000 Sn
2.325 -2.491 0.000 Sn
2.325 10.417 2.359 Pb
2.325 5.341 2.359 Pb
2.325 0.000 2.359 Pb
2.325 -5.341 2.359 Pb
2.325 -10.417 2.359 Pb
```

Main lines, in order of falling intensity (10° ≤ 2θ ≤ 90°):
2theta  intensity
32.09  1000
34.67  180
38.15  165
38.72  158
65.17  135
65.95  131

=====

Record 7
Diffraction record for Zr4Sb2CN. The powder diffraction line list is calculated, not measured: it uses a structure optimized by DFT (PBE) and Cu Kα, 1.54184 Å.

Structural model:
```
Zr4Sb2CN
1.0
3.466 0.000 0.000
-1.733 3.002 0.000
0.000 0.000 13.720
Zr Sb C N
4 2 1 1
Cartesian
0.000 2.001 1.226 Zr
0.000 2.001 5.697 Zr
1.733 1.001 8.023 Zr
1.733 1.001 12.495 Zr
0.000 2.001 10.245 Sb
1.733 1.001 3.476 Sb
0.000 0.000 0.000 C
0.000 0.000 6.860 N
```

Main lines, in order of falling intensity (10° ≤ 2θ ≤ 90°):
2theta  intensity
35.78  1000
29.76  232
52.82  228
67.85  182
65.44  164
39.40  154